The following is a computed X-ray powder pattern of ThTaMnO6. It was derived from the GGA+U geometry in Alexandria, using Cu Ka.

Cell and atoms:
```
data_ThTaMnO6
_chemical_formula_sum 'Th2 Ta2 Mn2 O12'
_symmetry_space_group_name_H-M 'P 1'
_symmetry_Int_Tables_number 1
_symmetry_space_group_name_Hall 'P 1'
_cell_length_a 4.9943
_cell_length_b 4.9943
_cell_length_c 9.7736
_cell_angle_alpha 90.00
_cell_angle_beta 90.00
_cell_angle_gamma 90.00
loop_
_atom_site_label
_atom_site_type_symbol
_atom_site_fract_x
_atom_site_fract_y
_atom_site_fract_z
Th1 Th 0.0000 0.0000 0.0000
Th2 Th 0.5000 0.5000 0.5000
Ta1 Ta 0.0000 0.0000 0.6656
Ta2 Ta 0.5000 0.5000 0.1656
Mn1 Mn 0.0000 0.0000 0.3330
Mn2 Mn 0.5000 0.5000 0.8330
O1 O 0.1730 0.1730 0.4918
O2 O 0.1914 0.1914 0.8047
O3 O 0.2082 0.2082 0.1783
O4 O 0.2918 0.7082 0.6783
O5 O 0.3086 0.6914 0.3047
O6 O 0.3270 0.6730 0.9918
O7 O 0.6730 0.3270 0.9918
O8 O 0.6914 0.3086 0.3047
O9 O 0.7082 0.2918 0.6783
O10 O 0.7918 0.7918 0.1783
O11 O 0.8086 0.8086 0.8047
O12 O 0.8270 0.8270 0.4918
```

Principal peaks in the range 2θ from 10° to 80°, low angle first:
hkl 1 0 1, 2θ = 19.96°, I = 31
hkl 1 1 0, 2θ = 25.22°, I = 100
hkl 1 0 3, 2θ = 32.82°, I = 82
hkl 2 0 0, 2θ = 35.96°, I = 27
hkl 2 1 3, 2θ = 49.48°, I = 67
hkl 3 0 3, 2θ = 62.67°, I = 20